Simulated powder X-ray diffraction pattern
Compound: Ho4Tm6Sc
Radiation: a wavelength of 1.5418 Å
Structure: a DFT-relaxed cell (PBE, Alexandria)

Atomic structure:
a = 5.4926 Å, b = 5.4926 Å, c = 25.2641 Å
α = 90.00°, β = 90.00°, γ = 119.77°
Positions (direct):
Ho1 0.0051 0.9949 0.6218
Ho2 0.0051 0.9949 0.8782
Ho3 0.3349 0.6651 0.5430
Ho4 0.3349 0.6651 0.9570
Ho5 0.6651 0.3349 0.0430
Ho6 0.6651 0.3349 0.4570
Ho7 0.9949 0.0051 0.1218
Ho8 0.9949 0.0051 0.3782
Tm1 0.0000 0.0000 0.0000
Tm2 0.0000 0.0000 0.5000
Tm3 0.0039 0.9961 0.7500
Tm4 0.3290 0.6710 0.1067
Tm5 0.3290 0.6710 0.3933
Tm6 0.3376 0.6624 0.6828
Tm7 0.3376 0.6624 0.8172
Tm8 0.6624 0.3376 0.1828
Tm9 0.6624 0.3376 0.3172
Tm10 0.6710 0.3290 0.6067
Tm11 0.6710 0.3290 0.8933
Tm12 0.9961 0.0039 0.2500
Sc1 0.3297 0.6703 0.2500
Sc2 0.6703 0.3297 0.7500

The 12 most intense peaks (2θ = 10–90°), most intense first:
2.746 Å, 2θ 32.61, I 100
2.876 Å, 2θ 31.09, I 92
2.632 Å, 2θ 34.06, I 57
2.756 Å, 2θ 32.49, I 51
1.989 Å, 2θ 45.61, I 23
1.609 Å, 2θ 57.25, I 22
1.589 Å, 2θ 58.04, I 21
1.509 Å, 2θ 61.46, I 18
1.563 Å, 2θ 59.12, I 16
1.903 Å, 2θ 47.81, I 14
1.373 Å, 2θ 68.31, I 12
1.613 Å, 2θ 57.09, I 11